[1]
Diffraction record for K3Gd3P4S16. The powder diffractogram is computed, not measured: it uses a cell relaxed with PBE and Cu Kα (λ = 1.5418 Å).
No peak broadening, texture or thermal motion is included.

Top 8 peaks for 2θ = 10–80°, by angle:
d_spacing, I_rel
8.049, 1000
7.373, 280
5.870, 514
3.697, 175
3.530, 202
2.929, 183
2.682, 165
2.419, 150

Structure:
```
K3Gd3P4S16
1.0
8.1156 -5.8977 0.0000
8.1156 5.8977 0.0000
-0.2452 0.0000 14.7452
K Gd P S
6 6 8 32
Direct
0.0000 0.0000 0.0000
0.0000 0.0000 0.5000
0.0282 0.3875 0.3369
0.3875 0.0282 0.8369
0.6125 0.9718 0.1631
0.9718 0.6125 0.6631
0.2492 0.7508 0.2500
0.2536 0.4856 0.9882
0.4856 0.2536 0.4882
0.5144 0.7464 0.5118
0.7464 0.5144 0.0118
0.7508 0.2492 0.7500
0.0387 0.3318 0.8614
0.2373 0.6014 0.4766
0.3318 0.0387 0.3614
0.3986 0.7627 0.0234
0.6014 0.2373 0.9766
0.6682 0.9613 0.6386
0.7627 0.3986 0.5234
0.9613 0.6682 0.1386
0.0391 0.1438 0.8054
0.0527 0.3216 0.0004
0.0760 0.7031 0.3926
0.1438 0.0391 0.3054
0.1566 0.5279 0.1711
0.1945 0.4018 0.8130
0.2119 0.4207 0.5257
0.2595 0.7298 0.5813
0.2702 0.7405 0.9187
0.2969 0.9240 0.1074
0.3216 0.0527 0.5004
0.4018 0.1945 0.3130
0.4158 0.5454 0.3958
0.4207 0.2119 0.0257
0.4546 0.5842 0.1042
0.4721 0.8434 0.3289
0.5279 0.1566 0.6711
0.5454 0.4158 0.8958
0.5793 0.7881 0.9743
0.5842 0.4546 0.6042
0.5982 0.8055 0.6870
0.6784 0.9473 0.4996
0.7031 0.0760 0.8926
0.7298 0.2595 0.0813
0.7405 0.2702 0.4187
0.7881 0.5793 0.4743
0.8055 0.5982 0.1870
0.8434 0.4721 0.8289
0.8562 0.9609 0.6946
0.9240 0.2969 0.6074
0.9473 0.6784 0.9996
0.9609 0.8562 0.1946
```



[2]
Diffraction record for Sc2TlHg. The powder diffractogram is computed, not measured: it uses a cell relaxed with PBE and Cu Kα (λ = 1.5418 Å).
No peak broadening, texture or thermal motion is included.

Top 7 peaks for 2θ = 10–80°, by angle:
d_spacing, I_rel
3.572, 483
2.526, 1000
2.062, 154
1.786, 177
1.597, 213
1.458, 362
1.263, 113

Structure:
```
Sc2TlHg
1.0
0.0000 3.5721 3.5721
3.5721 0.0000 3.5721
3.5721 3.5721 0.0000
Sc Tl Hg
2 1 1
Direct
0.2500 0.2500 0.2500
0.7500 0.7500 0.7500
0.0000 0.0000 0.0000
0.5000 0.5000 0.5000
```



[3]
Diffraction record for Ba2Sc2O5. The powder diffractogram is computed, not measured: it uses a cell relaxed with PBE and Cu Kα (λ = 1.5418 Å).
No peak broadening, texture or thermal motion is included.

Top 8 peaks for 2θ = 10–80°, by angle:
d_spacing, I_rel
4.187, 248
2.960, 409
2.949, 1000
2.411, 323
2.093, 305
1.707, 387
1.700, 173
1.474, 168

Structure:
```
Ba2Sc2O5
1.0
4.1866 0.0000 0.0000
0.0000 4.1866 0.0000
0.0000 0.0000 8.3072
Ba Sc O
2 2 5
Direct
0.0000 0.0000 0.0000
0.0000 0.0000 0.5000
0.5000 0.5000 0.2387
0.5000 0.5000 0.7613
0.0000 0.5000 0.2793
0.0000 0.5000 0.7207
0.5000 0.0000 0.2793
0.5000 0.0000 0.7207
0.5000 0.5000 0.0000
```



[4]
Diffraction record for NaCe3. The powder diffractogram is computed, not measured: it uses a cell relaxed with PBE and Cu Kα (λ = 1.5418 Å).
No peak broadening, texture or thermal motion is included.

Top 8 peaks for 2θ = 10–80°, by angle:
d_spacing, I_rel
4.942, 197
3.495, 171
2.853, 1000
2.471, 503
2.210, 98
1.747, 351
1.490, 413
1.427, 119

Structure:
```
NaCe3
1.0
4.9422 0.0000 0.0000
0.0000 4.9422 0.0000
0.0000 0.0000 4.9422
Na Ce
1 3
Direct
0.0000 0.0000 0.0000
0.0000 0.5000 0.5000
0.5000 0.0000 0.5000
0.5000 0.5000 0.0000
```



[5]
Diffraction record for ZrCoGe. The powder diffractogram is computed, not measured: it uses a cell relaxed with PBE and Cu Kα (λ = 1.5418 Å).
No peak broadening, texture or thermal motion is included.

Top 8 peaks for 2θ = 10–80°, by angle:
d_spacing, I_rel
2.473, 551
2.435, 283
2.383, 1000
2.271, 155
2.096, 198
2.062, 568
1.969, 461
1.317, 185

Structure:
```
ZrCoGe
1.0
6.5690 0.0000 0.0000
0.0000 3.9397 0.0000
0.0000 0.0000 7.2591
Zr Co Ge
4 4 4
Direct
0.0094 0.2500 0.1990
0.4906 0.7500 0.6990
0.5094 0.2500 0.3010
0.9906 0.7500 0.8010
0.1412 0.2500 0.5688
0.3588 0.7500 0.0688
0.6412 0.2500 0.9312
0.8588 0.7500 0.4312
0.2259 0.7500 0.3948
0.2741 0.2500 0.8948
0.7259 0.7500 0.1052
0.7741 0.2500 0.6052
```



[6]
Diffraction record for Ta3Cu2S6. The powder diffractogram is computed, not measured: it uses a cell relaxed with PBE and Cu Kα (λ = 1.5418 Å).
No peak broadening, texture or thermal motion is included.

Top 8 peaks for 2θ = 10–80°, by angle:
d_spacing, I_rel
6.611, 1000
3.305, 189
2.909, 296
2.841, 394
2.831, 185
2.426, 687
1.956, 755
1.675, 224

Structure:
```
Ta3Cu2S6
1.0
1.6814 -8.6947 0.0000
1.6814 8.6947 0.0000
0.0000 0.0000 13.2224
Ta Cu S
6 4 12
Direct
0.0559 0.9441 0.5000
0.2780 0.7220 0.9979
0.3907 0.6093 0.4987
0.6093 0.3907 0.9987
0.7220 0.2780 0.4979
0.9441 0.0559 0.0000
0.0543 0.9457 0.2864
0.2784 0.7216 0.2113
0.7216 0.2784 0.7113
0.9457 0.0543 0.7864
0.0559 0.9441 0.1179
0.0578 0.9422 0.8796
0.2785 0.7215 0.3803
0.2803 0.7197 0.6174
0.3861 0.6139 0.8789
0.3919 0.6081 0.1188
0.6081 0.3919 0.6188
0.6139 0.3861 0.3789
0.7197 0.2803 0.1174
0.7215 0.2785 0.8803
0.9422 0.0578 0.3796
0.9441 0.0559 0.6179
```



[7]
Diffraction record for Sr2H6Pt. The powder diffractogram is computed, not measured: it uses a cell relaxed with PBE and Cu Kα (λ = 1.5418 Å).
No peak broadening, texture or thermal motion is included.

Top 8 peaks for 2θ = 10–80°, by angle:
d_spacing, I_rel
6.880, 290
3.011, 1000
2.822, 451
2.611, 115
2.266, 164
1.995, 175
1.780, 176
1.663, 351

Structure:
```
Sr2H6Pt
1.0
6.8803 -2.8211 0.0000
6.8803 2.8211 0.0000
0.0000 0.0000 5.6452
Sr H Pt
4 12 2
Direct
0.1461 0.1461 0.0000
0.3539 0.3539 0.5000
0.6461 0.6461 0.5000
0.8539 0.8539 0.0000
0.0013 0.4987 0.7500
0.1212 0.1212 0.5000
0.2070 0.7930 0.7202
0.2930 0.7070 0.2202
0.3788 0.3788 0.0000
0.4987 0.0013 0.2500
0.5013 0.9987 0.7500
0.6212 0.6212 0.0000
0.7070 0.2930 0.7798
0.7930 0.2070 0.2798
0.8788 0.8788 0.5000
0.9987 0.5013 0.2500
0.0000 0.0000 0.5000
0.5000 0.5000 0.0000
```



[8]
Diffraction record for NdCd. The powder diffractogram is computed, not measured: it uses a cell relaxed with PBE and Cu Kα (λ = 1.5418 Å).
No peak broadening, texture or thermal motion is included.

Top 7 peaks for 2θ = 10–80°, by angle:
d_spacing, I_rel
3.865, 15
2.733, 1000
1.932, 180
1.728, 8
1.578, 370
1.366, 113
1.222, 157

Structure:
```
NdCd
1.0
3.8647 0.0000 0.0000
0.0000 3.8647 0.0000
0.0000 0.0000 3.8647
Nd Cd
1 1
Direct
0.0000 0.0000 0.0000
0.5000 0.5000 0.5000
```